1.
# Ta4FeTe4
Simulated X-ray powder pattern, a wavelength of 1.5418 Å. Input: a DFT-relaxed cell (PBE, the Materials Project).
Kinematic intensities with the Lorentz-polarization factor, no thermal factor.

Principal peaks in the range 2θ from 10° to 90°, by angle:
2θ (°)  intensity  h k l
16.00  26  1 3 0
24.93  27  2 1 1
32.04  45  3 2 1
33.91  40  2 5 1
34.47  94  1 6 1
35.98  43  3 4 1
36.99  82  0 0 2
38.02  45  4 1 1
38.22  27  0 2 2
40.34  100  4 3 1
41.14  74  2 7 1
42.71  34  1 8 1

Crystal structure
```
data_Ta4FeTe4
_symmetry_space_group_name_H-M 'P b a m'
_symmetry_Int_Tables_number 55
_cell_length_a 10.9493
_cell_length_b 19.2637
_cell_length_c 4.8603
_cell_angle_alpha 90.00
_cell_angle_beta 90.00
_cell_angle_gamma 90.00
loop_
_symmetry_equiv_pos_as_xyz
'x,y,z'
'-x,-y,-z'
'-x,-y,z'
'x,y,-z'
'x+1/2,-y+1/2,-z'
'-x+1/2,y+1/2,z'
'-x+1/2,y+1/2,-z'
'x+1/2,-y+1/2,z'
loop_
_atom_site_label
_atom_site_fract_x
_atom_site_fract_y
_atom_site_fract_z
Ta1 0.0642 0.1132 0.0000
Ta2 0.0958 0.8943 0.5000
Ta3 0.1869 0.0545 0.5000
Ta4 0.2001 0.9637 0.0000
Fe1 0.0000 0.0000 0.2500
Te1 0.1108 0.1964 0.5000
Te2 0.1538 0.4368 0.5000
Te3 0.1657 0.8167 0.0000
Te4 0.1764 0.5945 0.0000
```

---

2.
# GdAl22O34
Simulated X-ray powder pattern, a wavelength of 1.5418 Å. Input: a DFT-relaxed cell (PBE, the Materials Project).
Kinematic intensities with the Lorentz-polarization factor, no thermal factor.

Principal peaks in the range 2θ from 10° to 90°, by angle:
2θ (°)  intensity  h k l
11.11  65  0 1 -1
16.18  60  1 0 -1
18.31  57  1 1 -1
18.89  60  1 1 0
20.96  55  1 1 -2
32.06  68  1 -1 3
34.31  80  0 2 -4
36.76  52  -2 2 1
39.88  56  2 0 2
45.72  100  2 2 2
66.14  72  2 6 -2
67.09  61  2 2 -8

Crystal structure
```
data_GdAl22O34
_symmetry_space_group_name_H-M 'P -1'
_symmetry_Int_Tables_number 2
_cell_length_a 5.6475
_cell_length_b 9.8121
_cell_length_c 11.7855
_cell_angle_alpha 98.09
_cell_angle_beta 103.83
_cell_angle_gamma 90.14
loop_
_symmetry_equiv_pos_as_xyz
'x,y,z'
'-x,-y,-z'
loop_
_atom_site_label
_atom_site_fract_x
_atom_site_fract_y
_atom_site_fract_z
Gd1 0.0000 0.0000 0.0000
Al1 0.0000 0.0000 0.5000
Al2 0.0246 0.6740 0.5486
Al3 0.1074 0.2044 0.7185
Al4 0.1412 0.5476 0.2832
Al5 0.1516 0.0502 0.2946
Al6 0.1736 0.7242 0.8505
Al7 0.3256 0.7738 0.1474
Al8 0.3564 0.4519 0.7173
Al9 0.3583 0.9517 0.7171
Al10 0.3942 0.2971 0.2853
Al11 0.4752 0.8239 0.4474
Al12 0.5000 0.5000 0.5000
O1 0.0458 0.8599 0.5985
O2 0.0567 0.3513 0.6131
O3 0.1071 0.7013 0.2098
O4 0.1093 0.1948 0.2069
O5 0.1359 0.0456 0.7887
O6 0.1457 0.5474 0.7930
O7 0.1869 0.9067 0.4001
O8 0.2097 0.7861 0.9993
O9 0.2142 0.4032 0.3993
O10 0.2859 0.0943 0.6041
O11 0.3131 0.5950 0.5986
O12 0.3485 0.9559 0.2060
O13 0.3585 0.4515 0.2156
O14 0.3936 0.2992 0.7946
O15 0.3937 0.7981 0.7889
O16 0.4467 0.1478 0.3908
O17 0.4515 0.6400 0.3996
```

---

Repeat the second record exactly.
# GdAl22O34
Simulated X-ray powder pattern, a wavelength of 1.5418 Å. Input: a DFT-relaxed cell (PBE, the Materials Project).
Kinematic intensities with the Lorentz-polarization factor, no thermal factor.

Principal peaks in the range 2θ from 10° to 90°, by angle:
2θ (°)  intensity  h k l
11.11  65  0 1 -1
16.18  60  1 0 -1
18.31  57  1 1 -1
18.89  60  1 1 0
20.96  55  1 1 -2
32.06  68  1 -1 3
34.31  80  0 2 -4
36.76  52  -2 2 1
39.88  56  2 0 2
45.72  100  2 2 2
66.14  72  2 6 -2
67.09  61  2 2 -8

Crystal structure
```
data_GdAl22O34
_symmetry_space_group_name_H-M 'P -1'
_symmetry_Int_Tables_number 2
_cell_length_a 5.6475
_cell_length_b 9.8121
_cell_length_c 11.7855
_cell_angle_alpha 98.09
_cell_angle_beta 103.83
_cell_angle_gamma 90.14
loop_
_symmetry_equiv_pos_as_xyz
'x,y,z'
'-x,-y,-z'
loop_
_atom_site_label
_atom_site_fract_x
_atom_site_fract_y
_atom_site_fract_z
Gd1 0.0000 0.0000 0.0000
Al1 0.0000 0.0000 0.5000
Al2 0.0246 0.6740 0.5486
Al3 0.1074 0.2044 0.7185
Al4 0.1412 0.5476 0.2832
Al5 0.1516 0.0502 0.2946
Al6 0.1736 0.7242 0.8505
Al7 0.3256 0.7738 0.1474
Al8 0.3564 0.4519 0.7173
Al9 0.3583 0.9517 0.7171
Al10 0.3942 0.2971 0.2853
Al11 0.4752 0.8239 0.4474
Al12 0.5000 0.5000 0.5000
O1 0.0458 0.8599 0.5985
O2 0.0567 0.3513 0.6131
O3 0.1071 0.7013 0.2098
O4 0.1093 0.1948 0.2069
O5 0.1359 0.0456 0.7887
O6 0.1457 0.5474 0.7930
O7 0.1869 0.9067 0.4001
O8 0.2097 0.7861 0.9993
O9 0.2142 0.4032 0.3993
O10 0.2859 0.0943 0.6041
O11 0.3131 0.5950 0.5986
O12 0.3485 0.9559 0.2060
O13 0.3585 0.4515 0.2156
O14 0.3936 0.2992 0.7946
O15 0.3937 0.7981 0.7889
O16 0.4467 0.1478 0.3908
O17 0.4515 0.6400 0.3996
```